Starting from the GGA-PBE geometry in Alexandria, the PXRD pattern of Cd5BRh4 was computed for CuKα.
Peak positions follow from Bragg's law for the DFT cell and can differ from measured ones.

Cell and atoms:
```
data_Cd5BRh4
_cell_length_a 15.1983
_cell_length_b 2.9899
_cell_length_c 7.8512
_cell_angle_alpha 90.00
_cell_angle_beta 102.51
_cell_angle_gamma 90.00
_space_group_name_H-M_alt 'C 1 2/m 1'
_space_group_IT_number 12
loop_
_space_group_symop_operation_xyz
'x,y,z'
'-x,-y,-z'
'-x,y,-z'
'x,-y,z'
'x+1/2,y+1/2,z'
'-x+1/2,-y+1/2,-z'
'-x+1/2,y+1/2,-z'
'x+1/2,-y+1/2,z'
loop_
_atom_site_label
_atom_site_fract_x
_atom_site_fract_y
_atom_site_fract_z
_atom_site_occupancy
Cd1 0.0000 0.0000 0.0000 1
Cd2 0.1771 0.5000 0.2773 1
Cd3 0.1770 0.5000 0.8683 1
B1 0.0000 0.0000 0.5000 1
Rh1 0.0009 0.5000 0.6906 1
Rh2 0.1392 0.0000 0.5520 1
```

Largest 10 diffraction maxima, by angle, 15 to 90 degrees two-theta:
| Position (°2θ) | I_rel |
| --- | --- |
| 35.7 | 33 |
| 36.3 | 57 |
| 37.8 | 100 |
| 38.2 | 44 |
| 38.3 | 31 |
| 39.7 | 38 |
| 42.9 | 24 |
| 52.7 | 26 |
| 54.2 | 25 |
| 70.2 | 19 |



Starting from the GGA-PBE geometry in Alexandria, the PXRD pattern of As2Cl3OF5 was computed for CuKα.
Peak positions follow from Bragg's law for the DFT cell and can differ from measured ones.

Cell and atoms:
```
data_As2Cl3OF5
_cell_length_a 6.2771
_cell_length_b 19.5539
_cell_length_c 7.9961
_cell_angle_alpha 90.00
_cell_angle_beta 107.98
_cell_angle_gamma 90.00
_space_group_name_H-M_alt 'P 1 21/c 1'
_space_group_IT_number 14
loop_
_space_group_symop_operation_xyz
'x,y,z'
'-x,-y,-z'
'-x,y+1/2,-z+1/2'
'x,-y+1/2,z+1/2'
loop_
_atom_site_label
_atom_site_fract_x
_atom_site_fract_y
_atom_site_fract_z
_atom_site_occupancy
As1 0.0454 0.1234 0.1863 1
As2 0.3676 0.6143 0.6788 1
Cl1 0.1932 0.6311 0.8621 1
Cl2 0.3873 0.0395 0.7197 1
Cl3 0.4703 0.2060 0.8474 1
O1 0.2042 0.5795 0.4851 1
F1 0.0107 0.1962 0.0480 1
F2 0.0575 0.0475 0.3081 1
F3 0.1474 0.6585 0.2165 1
F4 0.2248 0.0871 0.0790 1
F5 0.2726 0.1600 0.3497 1
```

Largest 10 diffraction maxima, by angle, 15 to 90 degrees two-theta:
| Position (°2θ) | I_rel |
| --- | --- |
| 16.4 | 12 |
| 18.2 | 100 |
| 20.9 | 10 |
| 23.4 | 47 |
| 23.5 | 7 |
| 24.0 | 11 |
| 27.8 | 8 |
| 31.9 | 12 |
| 36.8 | 9 |
| 45.6 | 7 |



Starting from the GGA-PBE geometry in Alexandria, the PXRD pattern of Ca5As3 was computed for CuKα.
Peak positions follow from Bragg's law for the DFT cell and can differ from measured ones.

Cell and atoms:
```
data_Ca5As3
_cell_length_a 8.5258
_cell_length_b 8.5258
_cell_length_c 6.7968
_cell_angle_alpha 90.00
_cell_angle_beta 90.00
_cell_angle_gamma 120.00
_space_group_name_H-M_alt 'P 63/m c m'
_space_group_IT_number 193
_space_group_name_Hall '-P 6c 2'
loop_
_atom_site_label
_atom_site_fract_x
_atom_site_fract_y
_atom_site_fract_z
_atom_site_occupancy
Ca1 0.0000 0.2538 0.2500 1
Ca2 0.3333 0.6667 0.0000 1
As1 0.0000 0.3897 0.7500 1
```

Largest 10 diffraction maxima, by angle, 15 to 90 degrees two-theta:
| Position (°2θ) | I_rel |
| --- | --- |
| 24.7 | 29 |
| 26.2 | 43 |
| 33.7 | 95 |
| 34.7 | 100 |
| 35.9 | 16 |
| 36.5 | 57 |
| 46.3 | 31 |
| 52.0 | 30 |
| 66.9 | 17 |
| 69.4 | 18 |



Starting from the GGA-PBE geometry in Alexandria, the PXRD pattern of Dy4Zn2Pd was computed for CuKα.
Peak positions follow from Bragg's law for the DFT cell and can differ from measured ones.

Cell and atoms:
```
data_Dy4Zn2Pd
_cell_length_a 7.1003
_cell_length_b 9.9323
_cell_length_c 4.9328
_cell_angle_alpha 90.00
_cell_angle_beta 90.00
_cell_angle_gamma 90.00
_space_group_name_H-M_alt 'C m m m'
_space_group_IT_number 65
_space_group_name_Hall '-C 2 2'
loop_
_atom_site_label
_atom_site_fract_x
_atom_site_fract_y
_atom_site_fract_z
_atom_site_occupancy
Dy1 0.2481 0.0000 0.0000 1
Dy2 0.2500 0.2500 0.5000 1
Zn1 0.0000 0.2527 0.0000 1
Pd1 0.0000 0.0000 0.5000 1
```

Largest 10 diffraction maxima, by angle, 15 to 90 degrees two-theta:
| Position (°2θ) | I_rel |
| --- | --- |
| 25.1 | 12 |
| 25.5 | 23 |
| 36.0 | 100 |
| 36.2 | 25 |
| 36.4 | 24 |
| 52.3 | 17 |
| 65.0 | 18 |
| 65.3 | 17 |
| 76.4 | 11 |
| 88.1 | 12 |



Starting from the GGA-PBE geometry in Alexandria, the PXRD pattern of Cs2K2Ba was computed for CuKα.
Peak positions follow from Bragg's law for the DFT cell and can differ from measured ones.

Cell and atoms:
```
data_Cs2K2Ba
_cell_length_a 12.8168
_cell_length_b 12.8168
_cell_length_c 5.1567
_cell_angle_alpha 90.00
_cell_angle_beta 90.00
_cell_angle_gamma 90.00
_space_group_name_H-M_alt 'P 4/m b m'
_space_group_IT_number 127
_space_group_name_Hall '-P 4 2ab'
loop_
_atom_site_label
_atom_site_fract_x
_atom_site_fract_y
_atom_site_fract_z
_atom_site_occupancy
Cs1 0.1765 0.3235 0.0000 1
K1 0.1249 0.6249 0.5000 1
Ba1 0.0000 0.0000 0.5000 1
```

Largest 10 diffraction maxima, by angle, 15 to 90 degrees two-theta:
| Position (°2θ) | I_rel |
| --- | --- |
| 15.5 | 33 |
| 19.6 | 32 |
| 21.9 | 79 |
| 22.1 | 77 |
| 23.2 | 100 |
| 28.7 | 24 |
| 33.7 | 32 |
| 34.4 | 35 |
| 39.9 | 26 |
| 41.5 | 29 |



Starting from the GGA-PBE geometry in Alexandria, the PXRD pattern of NdSnHg5 was computed for CuKα.
Peak positions follow from Bragg's law for the DFT cell and can differ from measured ones.

Cell and atoms:
```
data_NdSnHg5
_cell_length_a 4.9559
_cell_length_b 4.9559
_cell_length_c 7.7419
_cell_angle_alpha 90.00
_cell_angle_beta 90.00
_cell_angle_gamma 90.00
_space_group_name_H-M_alt 'P 4/m m m'
_space_group_IT_number 123
_space_group_name_Hall '-P 4 2'
loop_
_atom_site_label
_atom_site_fract_x
_atom_site_fract_y
_atom_site_fract_z
_atom_site_occupancy
Nd1 0.0000 0.0000 0.0000 1
Sn1 0.0000 0.0000 0.5000 1
Hg1 0.0000 0.5000 0.2748 1
Hg2 0.5000 0.5000 0.0000 1
```

Largest 10 diffraction maxima, by angle, 15 to 90 degrees two-theta:
| Position (°2θ) | I_rel |
| --- | --- |
| 25.4 | 8 |
| 27.9 | 14 |
| 34.5 | 100 |
| 36.3 | 47 |
| 46.9 | 9 |
| 52.2 | 17 |
| 60.7 | 17 |
| 64.1 | 34 |
| 72.8 | 10 |
| 88.2 | 8 |



Starting from the GGA-PBE geometry in Alexandria, the PXRD pattern of Li2AgCl3 was computed for CuKα.
Peak positions follow from Bragg's law for the DFT cell and can differ from measured ones.

Cell and atoms:
```
data_Li2AgCl3
_cell_length_a 8.0795
_cell_length_b 24.2672
_cell_length_c 11.2909
_cell_angle_alpha 90.00
_cell_angle_beta 90.00
_cell_angle_gamma 90.00
_space_group_name_H-M_alt 'F d d 2'
_space_group_IT_number 43
_space_group_name_Hall 'F 2 -2d'
loop_
_atom_site_label
_atom_site_fract_x
_atom_site_fract_y
_atom_site_fract_z
_atom_site_occupancy
Li1 0.0000 0.0000 0.9996 1
Li2 0.0000 0.0000 0.5000 1
Li3 0.0010 0.3353 0.0017 1
Ag1 0.0036 0.1705 0.0021 1
Cl1 0.0010 0.2584 0.1350 1
Cl2 0.0158 0.4210 0.6246 1
Cl3 0.0174 0.0822 0.6185 1
```

Largest 10 diffraction maxima, by angle, 15 to 90 degrees two-theta:
| Position (°2θ) | I_rel |
| --- | --- |
| 17.4 | 63 |
| 27.1 | 100 |
| 28.4 | 24 |
| 36.0 | 24 |
| 42.8 | 10 |
| 44.8 | 21 |
| 45.1 | 43 |
| 53.2 | 25 |
| 53.7 | 13 |
| 82.9 | 11 |